No. 1
For NiHgI2, a crystal structure in Alexandria, relaxed with GGA-PBE gives the simulated X-ray diffraction stick pattern in this record (CuKα).

Peak list (10 most intense, 2θ = 5–70°, in order of falling intensity)
2θ 33.64, I = 100; 2θ 26.21, I = 71; 2θ 26.60, I = 52; 2θ 15.62, I = 46; 2θ 46.00, I = 42; 2θ 32.01, I = 36; 2θ 23.53, I = 35; 2θ 50.55, I = 31; 2θ 37.29, I = 27; 2θ 52.30, I = 25

```
4
Lattice="1.9731 1.1392 11.3433 -1.9731 1.1392 11.3433 0.0000 -2.2783 11.3433" Properties=species:S:1:pos:R:3 pbc="T T T"
Ni 0.0000 0.0000 0.0000
Hg 0.0000 0.0000 17.0149
I 0.0000 0.0000 12.8523
I 0.0000 0.0000 21.1775
```

---

No. 2
For Y2BTeAu, a crystal structure in Alexandria, relaxed with GGA-PBE gives the simulated X-ray diffraction stick pattern in this record (CuKα).

Peak list (10 most intense, 2θ = 5–70°, in order of falling intensity)
2θ 31.83, I = 100; 2θ 35.31, I = 40; 2θ 61.21, I = 31; 2θ 54.39, I = 23; 2θ 39.98, I = 14; 2θ 50.80, I = 14; 2θ 66.53, I = 13; 2θ 67.54, I = 11; 2θ 24.77, I = 8; 2θ 19.68, I = 5

```
5
Lattice="5.0838 0.0000 0.0000 0.0000 5.0838 0.0000 0.0000 0.0000 4.5101" Properties=species:S:1:pos:R:3 pbc="T T T"
Y 0.0000 2.5419 0.0000
Y 2.5419 0.0000 0.0000
B 0.0000 0.0000 0.0000
Te 0.0000 0.0000 2.2550
Au 2.5419 2.5419 2.2550
```

---

No. 3
For Ba3Pr, a crystal structure in Alexandria, relaxed with GGA-PBE gives the simulated X-ray diffraction stick pattern in this record (CuKα).

Peak list (10 most intense, 2θ = 5–70°, in order of falling intensity)
2θ 27.59, I = 100; 2θ 26.30, I = 25; 2θ 50.73, I = 24; 2θ 24.19, I = 23; 2θ 47.22, I = 23; 2θ 42.56, I = 20; 2θ 51.47, I = 17; 2θ 36.04, I = 16; 2θ 68.93, I = 14; 2θ 65.43, I = 8

```
8
Lattice="8.4970 0.0000 0.0000 -4.2485 7.3586 0.0000 0.0000 0.0000 6.7762" Properties=species:S:1:pos:R:3 pbc="T T T"
Ba 0.0000 2.5315 1.6940
Ba -2.0562 6.0929 1.6940
Ba 2.1923 1.2657 5.0821
Ba 2.0562 6.0929 1.6940
Ba 6.3047 1.2657 5.0821
Ba 4.2485 4.8272 5.0821
Pr 0.0000 4.9058 5.0821
Pr 4.2485 2.4529 1.6940
```

---

Repeat the second record exactly.
For Y2BTeAu, a crystal structure in Alexandria, relaxed with GGA-PBE gives the simulated X-ray diffraction stick pattern in this record (CuKα).

Peak list (10 most intense, 2θ = 5–70°, in order of falling intensity)
2θ 31.83, I = 100; 2θ 35.31, I = 40; 2θ 61.21, I = 31; 2θ 54.39, I = 23; 2θ 39.98, I = 14; 2θ 50.80, I = 14; 2θ 66.53, I = 13; 2θ 67.54, I = 11; 2θ 24.77, I = 8; 2θ 19.68, I = 5

```
5
Lattice="5.0838 0.0000 0.0000 0.0000 5.0838 0.0000 0.0000 0.0000 4.5101" Properties=species:S:1:pos:R:3 pbc="T T T"
Y 0.0000 2.5419 0.0000
Y 2.5419 0.0000 0.0000
B 0.0000 0.0000 0.0000
Te 0.0000 0.0000 2.2550
Au 2.5419 2.5419 2.2550
```